The following is a theoretical powder diffractogram of ZrSiRu. It was derived from a crystal structure in Alexandria, relaxed with GGA-PBE, using CuKα.

Largest 6 diffraction maxima, low angle first, 5 to 70 degrees two-theta:
d [Å]  Rel. int.
3.129  20
2.488  100
2.287  69
2.200  24
2.192  45
1.857  21

Structural model:
Lattice parameters (Å, degrees): 7.6570 7.6570 7.6570 121.97 81.71 127.93
Fractional positions:
Zr 0.0024 0.2500 0.2524
Zr 0.1412 0.1094 0.5318
Zr 0.1802 0.6294 0.0508
Zr 0.5776 0.6094 0.4682
Zr 0.5785 0.1294 0.9492
Zr 0.9976 0.7500 0.7476
Si 0.2471 0.0747 0.1623
Si 0.2471 0.5849 0.6724
Si 0.5673 0.3391 0.7282
Si 0.6109 0.8391 0.2718
Si 0.9124 0.0849 0.8377
Si 0.9124 0.5747 0.3276
Ru 0.3374 0.3374 0.0000
Ru 0.3374 0.8374 0.5000
Ru 0.5813 0.1803 0.3533
Ru 0.5813 0.7280 0.9010
Ru 0.8269 0.2280 0.6467
Ru 0.8269 0.6803 0.0990